Calculated powder diffractogram
Compound: Nb3PbO9
Radiation: Cu Kα, 1.54184 Å
Structure: the GGA-PBE geometry in Alexandria
Intensities are scaled so that the largest is 100.

Atomic structure:
```
26
Lattice="5.4561 0.0000 0.0000 0.0000 7.7581 0.0000 -0.2366 0.0000 8.4278" Properties=species:S:1:pos:R:3 pbc="T T T"
Nb -0.0642 0.0000 4.2035
Nb 2.5212 3.4850 1.6890
Nb 2.5811 7.4542 1.7138
Nb 2.6384 3.5752 6.7141
Nb 2.6983 7.3641 6.7388
Nb 5.2837 3.8790 4.2243
Pb -0.0360 1.5954 7.9896
Pb 5.2555 5.4744 0.4382
O 0.4083 1.7463 4.0550
O 0.8266 4.1209 2.4548
O 0.8479 7.0938 2.5073
O 1.2364 7.2042 8.2064
O 1.2547 3.9198 8.2113
O 1.5402 4.0289 5.2703
O 1.5415 7.1511 5.2927
O 1.9305 1.6655 1.3992
O 2.1240 1.6811 6.8517
O 3.0955 5.5601 1.5761
O 3.2889 5.5446 7.0287
O 3.6780 3.2721 3.1351
O 3.6793 0.1499 3.1576
O 3.9648 0.0408 0.2166
O 3.9831 3.3252 0.2214
O 4.3716 3.2148 5.9206
O 4.3929 0.2418 5.9730
O 4.8112 5.6253 4.3729
```

The 10 most intense peaks (10° ≤ 2θ ≤ 90°), by angle:
Position (°2θ), I (rel.)
10.50, 98.8
25.27, 58.8
26.36, 100.0
27.10, 94.1
28.23, 85.3
30.03, 59.6
30.36, 89.3
31.34, 38.9
32.84, 51.5
53.00, 42.3

Calculated powder diffractogram
Compound: ThNbPbO6
Radiation: Cu Kα, 1.54184 Å
Structure: the GGA-PBE geometry in Alexandria
Intensities are scaled so that the largest is 100.

Atomic structure:
```
18
Lattice="5.1476 0.0000 0.0000 0.0000 5.1476 0.0000 0.0000 0.0000 10.4751" Properties=species:S:1:pos:R:3 pbc="T T T"
Th 0.0000 0.0000 0.0000
Th 2.5738 2.5738 5.2375
Nb 0.0000 0.0000 6.9587
Nb 2.5738 2.5738 1.7212
Pb 0.0000 0.0000 3.4563
Pb 2.5738 2.5738 8.6939
O 0.9225 0.9225 8.5463
O 0.9578 0.9578 5.4645
O 1.1364 1.1364 1.6913
O 1.4374 3.7102 6.9288
O 1.6160 3.5316 0.2270
O 1.6513 3.4963 3.3088
O 3.4963 1.6513 3.3088
O 3.5316 1.6160 0.2270
O 3.7102 1.4374 6.9288
O 4.0112 4.0112 1.6913
O 4.1898 4.1898 5.4645
O 4.2251 4.2251 8.5463
```

The 10 most intense peaks (10° ≤ 2θ ≤ 90°), by angle:
Position (°2θ), I (rel.)
19.21, 14.1
24.46, 100.0
30.95, 92.6
34.86, 28.3
47.30, 71.5
50.12, 16.9
56.54, 17.9
58.65, 18.1
60.08, 20.4
71.38, 17.0

Calculated powder diffractogram
Compound: NbTlPb2O5
Radiation: Cu Kα, 1.54184 Å
Structure: the GGA-PBE geometry in Alexandria
Intensities are scaled so that the largest is 100.

Atomic structure:
```
9
Lattice="-2.0329 3.1939 5.9033 2.0329 -3.1939 5.9033 2.0329 3.1939 -5.9033" Properties=species:S:1:pos:R:3 pbc="T T T"
Nb 0.0000 0.0000 0.0000
Tl 0.0000 0.0000 5.9033
Pb 2.0329 0.0000 2.6935
Pb 0.0000 3.1939 3.2098
O 2.0329 0.0000 0.0000
O 2.0329 -1.8167 4.4127
O 0.0000 1.3771 1.4906
O 2.0329 1.8167 4.4127
O 0.0000 5.0106 1.4906
```

The 10 most intense peaks (10° ≤ 2θ ≤ 90°), by angle:
Position (°2θ), I (rel.)
26.60, 10.1
27.94, 29.0
30.13, 100.0
30.28, 19.2
41.67, 24.0
44.57, 11.8
50.82, 24.1
53.43, 10.2
53.70, 14.1
62.65, 14.1

Calculated powder diffractogram
Compound: Nb2ZnPb3O9
Radiation: Cu Kα, 1.54184 Å
Structure: the GGA-PBE geometry in Alexandria
Intensities are scaled so that the largest is 100.

Atomic structure:
```
15
Lattice="4.2909 0.0000 0.0000 0.0797 5.7843 0.0000 0.0072 2.7352 8.7079" Properties=species:S:1:pos:R:3 pbc="T T T"
Nb 0.0000 0.0000 0.0000
Nb 0.0314 2.8856 2.7839
Zn 0.0573 5.4912 5.7984
Pb 1.9632 5.5947 8.3433
Pb 1.9515 2.4055 5.7909
Pb 2.0883 5.7053 3.2833
O 0.3150 4.3609 4.0657
O 0.3357 4.1692 7.3510
O 0.3570 1.3698 1.4159
O 0.4077 4.2217 1.2611
O 0.3814 1.5532 4.1880
O 0.4485 7.1746 7.2326
O 2.3790 5.8486 5.6860
O 2.4670 2.8881 2.7730
O 2.5257 8.4948 8.6634
```

The 10 most intense peaks (10° ≤ 2θ ≤ 90°), by angle:
Position (°2θ), I (rel.)
20.70, 22.0
29.83, 50.8
30.20, 100.0
30.42, 48.7
30.80, 36.8
30.92, 44.8
42.12, 25.7
43.79, 19.2
44.63, 18.8
54.57, 18.7

Calculated powder diffractogram
Compound: PmNb2O5
Radiation: Cu Kα, 1.54184 Å
Structure: the GGA-PBE geometry in Alexandria
Intensities are scaled so that the largest is 100.

Atomic structure:
```
16
Lattice="2.0912 -4.8698 0.0000 2.0912 4.8698 0.0000 0.0000 0.0000 9.9558" Properties=species:S:1:pos:R:3 pbc="T T T"
Pm 2.0912 4.6035 7.4668
Pm 2.0912 -4.6035 2.4889
Nb 2.0912 1.5962 5.4595
Nb 2.0912 1.5962 9.4741
Nb 2.0912 -1.5962 0.4816
Nb 2.0912 -1.5962 4.4962
O 2.0912 3.4672 0.6106
O 2.0912 3.4672 4.3673
O 2.0912 2.1860 7.4668
O 2.0912 0.4221 1.2027
O 2.0912 0.4221 3.7751
O 2.0912 -0.4221 6.1806
O 2.0912 -0.4221 8.7530
O 2.0912 -2.1860 2.4889
O 2.0912 -3.4672 5.5884
O 2.0912 -3.4672 9.3452
```

The 10 most intense peaks (10° ≤ 2θ ≤ 90°), by angle:
Position (°2θ), I (rel.)
24.83, 19.7
25.59, 64.8
29.36, 100.0
32.65, 32.7
34.99, 53.4
41.28, 24.6
43.28, 49.2
50.94, 19.9
51.14, 23.3
55.22, 23.3

Calculated powder diffractogram
Compound: Rb3PmNb2O8
Radiation: Cu Kα, 1.54184 Å
Structure: the GGA-PBE geometry in Alexandria
Intensities are scaled so that the largest is 100.

Atomic structure:
```
14
Lattice="6.3633 0.0000 0.0000 -3.1817 5.5108 0.0000 0.0000 0.0000 8.1061" Properties=species:S:1:pos:R:3 pbc="T T T"
Rb 0.0000 0.0000 0.0000
Rb 0.0000 3.6739 5.5863
Rb 3.1817 1.8369 2.5198
Pm 0.0000 0.0000 4.0531
Nb 0.0000 3.6739 1.9792
Nb 3.1817 1.8369 6.1269
O 0.0000 1.8926 2.6447
O -1.5426 4.5645 2.6447
O 0.0000 3.6739 0.1584
O 1.6390 0.9463 5.4614
O 1.5426 4.5645 2.6447
O 3.1817 1.8369 7.9477
O 4.7243 0.9463 5.4614
O 3.1817 3.6182 5.4614
```

The 10 most intense peaks (10° ≤ 2θ ≤ 90°), by angle:
Position (°2θ), I (rel.)
10.91, 14.2
27.31, 85.7
28.04, 100.0
39.55, 43.6
49.18, 33.3
49.63, 20.1
53.62, 19.2
57.97, 17.5
65.24, 14.7
79.74, 9.9

Calculated powder diffractogram
Compound: PmZr2NbO8
Radiation: Cu Kα, 1.54184 Å
Structure: the GGA-PBE geometry in Alexandria
Intensities are scaled so that the largest is 100.

Atomic structure:
```
12
Lattice="4.9756 0.0000 0.0000 0.0000 6.6902 0.0000 -0.0745 0.0000 4.9778" Properties=species:S:1:pos:R:3 pbc="T T T"
Pm 0.0000 0.0000 0.0000
Zr 2.4506 1.6902 2.4889
Zr 2.4506 5.0000 2.4889
Nb 0.0000 3.3451 0.0000
O 0.9717 1.8926 0.9818
O 0.9717 4.7977 0.9818
O 1.4140 3.3451 3.5066
O 1.5474 0.0000 3.3714
O 3.3537 0.0000 1.6063
O 3.4871 3.3451 1.4712
O 3.9294 1.8926 3.9960
O 3.9294 4.7977 3.9960
```

The 10 most intense peaks (10° ≤ 2θ ≤ 90°), by angle:
Position (°2θ), I (rel.)
25.12, 65.4
25.50, 61.7
32.24, 100.0
36.10, 26.7
48.95, 44.1
49.39, 41.2
51.55, 10.7
52.39, 10.5
61.47, 10.5
62.50, 25.8

Copy entry 1 word for word.
Calculated powder diffractogram
Compound: Nb3PbO9
Radiation: Cu Kα, 1.54184 Å
Structure: the GGA-PBE geometry in Alexandria
Intensities are scaled so that the largest is 100.

Atomic structure:
```
26
Lattice="5.4561 0.0000 0.0000 0.0000 7.7581 0.0000 -0.2366 0.0000 8.4278" Properties=species:S:1:pos:R:3 pbc="T T T"
Nb -0.0642 0.0000 4.2035
Nb 2.5212 3.4850 1.6890
Nb 2.5811 7.4542 1.7138
Nb 2.6384 3.5752 6.7141
Nb 2.6983 7.3641 6.7388
Nb 5.2837 3.8790 4.2243
Pb -0.0360 1.5954 7.9896
Pb 5.2555 5.4744 0.4382
O 0.4083 1.7463 4.0550
O 0.8266 4.1209 2.4548
O 0.8479 7.0938 2.5073
O 1.2364 7.2042 8.2064
O 1.2547 3.9198 8.2113
O 1.5402 4.0289 5.2703
O 1.5415 7.1511 5.2927
O 1.9305 1.6655 1.3992
O 2.1240 1.6811 6.8517
O 3.0955 5.5601 1.5761
O 3.2889 5.5446 7.0287
O 3.6780 3.2721 3.1351
O 3.6793 0.1499 3.1576
O 3.9648 0.0408 0.2166
O 3.9831 3.3252 0.2214
O 4.3716 3.2148 5.9206
O 4.3929 0.2418 5.9730
O 4.8112 5.6253 4.3729
```

The 10 most intense peaks (10° ≤ 2θ ≤ 90°), by angle:
Position (°2θ), I (rel.)
10.50, 98.8
25.27, 58.8
26.36, 100.0
27.10, 94.1
28.23, 85.3
30.03, 59.6
30.36, 89.3
31.34, 38.9
32.84, 51.5
53.00, 42.3